Diffraction record for La3Tb. The powder X-ray diffraction pattern is theoretical, not measured: it uses DFT lattice parameters and positions (GGA-PBE) and a wavelength of 1.5418 Å.
Neutral-atom scattering factors, no anomalous dispersion.

Cell and atoms:
Cell: 6.451 6.451 6.451 Å, 132.10 132.10 70.06°
Element x y z (fractional)
La (0.000, 0.000, 0.000)
La (0.250, 0.750, 0.500)
La (0.750, 0.250, 0.500)
Tb (0.500, 0.500, 0.000)

Top 10 peaks for 10° ≤ 2θ ≤ 90°, in order of rising 2θ:
d/Å  2θ (°)  Rel. int.
3.032  29.46  100
2.641  33.94  17
2.619  34.24  34
1.860  48.98  24
1.852  49.21  12
1.590  58.00  15
1.580  58.39  29
1.516  61.12  13
1.206  79.44  12
1.202  79.78  6